Record 1
The following is a simulated X-ray powder pattern of MgZn4Co6O16. It was derived from DFT lattice parameters and positions (PBE+U), using copper Kα.
No peak broadening, texture or thermal motion is included.

Cell and atoms:
```
MgZn4Co6O16
1.0
5.776 0.000 0.000
-2.871 5.125 0.000
-0.189 -0.338 9.975
Mg Zn Co O
1 4 6 16
Direct
0.000 0.000 0.000
0.020 0.026 0.520
0.057 0.115 0.753
0.683 0.362 0.054
0.712 0.367 0.463
0.054 0.595 0.751
0.203 0.378 0.242
0.210 0.863 0.243
0.537 0.071 0.741
0.546 0.584 0.740
0.691 0.860 0.241
0.034 0.044 0.334
0.051 0.519 0.341
0.210 0.928 0.855
0.219 0.451 0.850
0.324 0.195 0.128
0.347 0.730 0.646
0.368 0.677 0.141
0.389 0.242 0.621
0.533 0.018 0.341
0.540 0.556 0.337
0.714 0.913 0.848
0.728 0.421 0.850
0.852 0.221 0.614
0.858 0.168 0.131
0.861 0.690 0.618
0.868 0.721 0.133
```

Largest 10 diffraction maxima, by intensity, 2θ from 10° to 90°:
17.78 deg, intensity 100.0
36.51 deg, intensity 44.3
36.02 deg, intensity 39.6
35.75 deg, intensity 35.7
40.15 deg, intensity 33.5
35.90 deg, intensity 33.2
51.65 deg, intensity 31.6
25.16 deg, intensity 31.6
36.89 deg, intensity 29.6
35.64 deg, intensity 27.1

Record 2
The following is a simulated X-ray powder pattern of Fe9O13. It was derived from DFT lattice parameters and positions (PBE+U), using copper Kα.
No peak broadening, texture or thermal motion is included.

Cell and atoms:
```
Fe9O13
1.0
4.980 -1.491 0.000
4.980 1.491 0.000
-2.502 0.000 17.522
Fe O
9 13
Direct
0.000 0.000 0.000
0.145 0.145 0.544
0.248 0.248 0.915
0.436 0.436 0.634
0.487 0.487 0.822
0.513 0.513 0.178
0.564 0.564 0.366
0.752 0.752 0.085
0.855 0.855 0.456
0.061 0.061 0.633
0.113 0.113 0.107
0.115 0.115 0.827
0.210 0.210 0.433
0.369 0.369 0.025
0.389 0.389 0.728
0.500 0.500 0.500
0.611 0.611 0.272
0.631 0.631 0.975
0.790 0.790 0.567
0.885 0.885 0.173
0.887 0.887 0.893
0.939 0.939 0.367
```

Largest 10 diffraction maxima, by intensity, 2θ from 10° to 90°:
33.39 deg, intensity 100.0
10.10 deg, intensity 96.0
42.36 deg, intensity 26.2
41.20 deg, intensity 22.6
19.37 deg, intensity 22.3
17.99 deg, intensity 21.4
41.71 deg, intensity 19.4
36.07 deg, intensity 19.1
44.14 deg, intensity 18.2
37.96 deg, intensity 17.5

Record 3
The following is a simulated X-ray powder pattern of Li7Mn5O12. It was derived from DFT lattice parameters and positions (PBE+U), using copper Kα.
No peak broadening, texture or thermal motion is included.

Cell and atoms:
```
Li7Mn5O12
1.0
2.984 0.000 0.000
1.116 7.598 0.000
0.315 3.024 9.731
Li Mn O
7 5 12
Direct
0.000 0.000 0.000
0.151 0.679 0.242
0.168 0.668 0.746
0.485 0.010 0.759
0.515 0.990 0.241
0.832 0.332 0.254
0.849 0.321 0.758
0.000 0.000 0.500
0.328 0.326 0.996
0.332 0.333 0.502
0.668 0.667 0.498
0.672 0.674 0.004
0.043 0.841 0.380
0.133 0.804 0.892
0.228 0.514 0.105
0.289 0.498 0.617
0.375 0.173 0.382
0.400 0.182 0.883
0.600 0.818 0.117
0.625 0.827 0.618
0.711 0.502 0.383
0.772 0.486 0.895
0.867 0.196 0.108
0.957 0.159 0.620
```

Largest 10 diffraction maxima, by intensity, 2θ from 10° to 90°:
18.23 deg, intensity 100.0
41.16 deg, intensity 34.9
44.19 deg, intensity 28.7
44.29 deg, intensity 27.7
34.39 deg, intensity 17.9
36.24 deg, intensity 11.5
36.39 deg, intensity 11.3
63.92 deg, intensity 9.6
12.20 deg, intensity 9.0
61.57 deg, intensity 8.3

Record 4
The following is a simulated X-ray powder pattern of Li2Si4Ni2O11. It was derived from DFT lattice parameters and positions (PBE+U), using copper Kα.
No peak broadening, texture or thermal motion is included.

Cell and atoms:
```
Li2Si4Ni2O11
1.0
6.944 0.000 0.000
-1.929 7.190 0.000
-1.694 -1.898 8.315
Li Si Ni O
4 8 4 22
Direct
0.110 0.296 0.199
0.356 0.746 0.846
0.644 0.254 0.154
0.890 0.704 0.801
0.020 0.722 0.225
0.260 0.107 0.970
0.268 0.477 0.593
0.458 0.722 0.232
0.542 0.278 0.768
0.732 0.523 0.407
0.740 0.893 0.030
0.980 0.278 0.775
0.129 0.886 0.603
0.381 0.115 0.392
0.619 0.885 0.608
0.871 0.114 0.397
0.083 0.910 0.370
0.101 0.240 0.943
0.121 0.465 0.726
0.174 0.305 0.434
0.175 0.903 0.843
0.208 0.648 0.180
0.318 0.113 0.157
0.318 0.698 0.579
0.435 0.085 0.627
0.476 0.241 0.934
0.481 0.457 0.706
0.519 0.543 0.294
0.524 0.759 0.066
0.565 0.915 0.373
0.682 0.302 0.421
0.682 0.887 0.843
0.792 0.352 0.820
0.825 0.097 0.157
0.826 0.695 0.566
0.879 0.535 0.274
0.899 0.760 0.057
0.917 0.090 0.630
```

Largest 10 diffraction maxima, by intensity, 2θ from 10° to 90°:
10.64 deg, intensity 100.0
31.43 deg, intensity 67.7
32.27 deg, intensity 63.1
12.63 deg, intensity 60.3
27.26 deg, intensity 45.3
29.78 deg, intensity 39.4
31.97 deg, intensity 31.3
52.75 deg, intensity 23.3
42.52 deg, intensity 20.1
41.33 deg, intensity 16.5